Diffraction record for Ca2I4O13. The powder diffractogram is calculated, not measured: it uses a DFT-relaxed cell (GGA-PBE, the Materials Project) and λ = 1.5418 Å (Cu Kα).
Kinematic intensities with the Lorentz-polarization factor, no thermal factor.

Structure:
```
data_Ca2I4O13
_cell_length_a 13.0758
_cell_length_b 6.4245
_cell_length_c 16.3441
_cell_angle_alpha 90.00
_cell_angle_beta 92.44
_cell_angle_gamma 90.00
_space_group_name_H-M_alt 'C 1 2/c 1'
_space_group_IT_number 15
loop_
_space_group_symop_operation_xyz
'x,y,z'
'-x,-y,-z'
'-x,y,-z+1/2'
'x,-y,z+1/2'
'x+1/2,y+1/2,z'
'-x+1/2,-y+1/2,-z'
'-x+1/2,y+1/2,-z+1/2'
'x+1/2,-y+1/2,z+1/2'
loop_
_atom_site_label
_atom_site_type_symbol
_atom_site_fract_x
_atom_site_fract_y
_atom_site_fract_z
_atom_site_occupancy
Ca1 Ca 0.1224 0.2196 0.3815 1
I1 I 0.0765 0.2623 0.6138 1
I2 I 0.2240 0.3107 0.8554 1
O1 O 0.0000 0.4941 0.2500 1
O2 O 0.0479 0.2215 0.5050 1
O3 O 0.0968 0.0057 0.1482 1
O4 O 0.1135 0.1308 0.8464 1
O5 O 0.1776 0.4832 0.2834 1
O6 O 0.1878 0.4514 0.9458 1
O7 O 0.2072 0.3639 0.6134 1
```

Top 6 peaks for 2θ from 15° to 90°, low angle first:
- d 4.082, intensity 100.0, (0 0 4)
- d 3.921, intensity 49.4, (1 1 3)
- d 3.546, intensity 78.4, (3 1 -1)
- d 3.494, intensity 43.2, (3 1 1)
- d 3.212, intensity 33.2, (0 2 0)
- d 2.525, intensity 41.3, (0 2 4)